Simulated X-ray powder pattern
Compound: Rb4Tm3PaS8
Radiation: Cu Kα, 1.54184 Å
Structure: a DFT-relaxed cell (PBE, Alexandria)
Lines closer than 0.1° are merged.

Principal peaks in the range 2θ from 10° to 90°, by angle:
(hkl)  Position (°2θ)  intensity
0 0 3  11.50  405
0 0 6  23.12  277
2 0 2  26.61  504
0 2 4  29.85  1000
0 2 7  37.47  109
2 0 8  40.52  375
2 2 0  44.84  334
0 0 12  47.20  227
2 2 6  51.04  208
4 0 4  54.80  176
2 2 12  67.16  195
2 4 4  73.41  147

Structural model:
abc: 8.0858 8.0858 23.0773
angles: 90.00 90.00 120.00
Space group R-3m (No. 166, hexagonal axes)
One atom of each set of equivalent atoms:
Rb 0.0000 0.0000 0.0000 x3
Rb 0.0000 0.5000 0.0000 x9
Tm 0.0000 0.5000 0.5000 x9
Pa 0.0000 0.0000 0.5000 x3
S 0.0000 0.0000 0.2299 x6
S 0.0031 0.5015 0.7693 x18